1.
Starting from a structure optimized by DFT (PBE), the powder XRD pattern of Ti7NbSn2 was computed for CuKα.

Structure:
Cell lengths 9.4352, 9.4352, 9.4352 Å; angles 90.00, 90.00, 90.00 degrees
Space group Fm-3m (No. 225)
Asymmetric unit:
Ti: 0.0000 0.0000 0.0000 (multiplicity 4)
Ti: 0.0000 0.0000 0.2459 (multiplicity 24)
Nb: 0.0000 0.0000 0.5000 (multiplicity 4)
Sn: 0.2500 0.2500 0.2500 (multiplicity 8)

Main lines, most intense first (2θ from 10° to 80°):
2θ/deg  I_rel  index
38.15  100  4 0 0
26.72  97  2 2 0
32.88  67  2 2 2
55.06  66  4 4 0
47.19  42  4 2 2
65.64  25  6 2 2
75.39  23  6 4 2
68.95  22  4 4 4
62.23  19  6 2 0
16.27  4  1 1 1

2.
Starting from a structure optimized by DFT (PBE), the powder XRD pattern of PmPrSmDy2 was computed for CuKα.

Structure:
Cell lengths 8.4887, 11.6786, 7.1989 Å; angles 90.00, 90.00, 90.00 degrees
Space group Cmcm (No. 63)
Asymmetric unit:
Pm: 0.0000 0.2262 0.2500 (multiplicity 4)
Pr: 0.0000 0.2299 0.7500 (multiplicity 4)
Sm: 0.0000 0.4988 0.2500 (multiplicity 4)
Dy: 0.1878 0.0000 0.0000 (multiplicity 8)

Main lines, most intense first (2θ from 10° to 80°):
2θ/deg  I_rel  index
32.60  100  2 0 2
45.35  51  2 4 2
30.62  50  0 4 0
29.14  44  0 2 2
35.58  39  1 3 2
25.95  37  2 2 0
39.37  31  3 3 0
27.99  26  1 1 2
15.17  19  0 2 0
66.04  18  6 0 0